Record 1
Computed X-ray powder pattern of CaHo4Sn4 for CuKα, from a GGA-PBE-relaxed structure.
Lines closer than 0.1° are merged.

Cell and atoms:
```
CaHo4Sn4
1.0
9.9671 0.0000 0.0000
0.0000 9.9671 0.0000
0.0000 0.0000 6.1106
Ca Ho Sn
2 8 8
direct
0.2500 0.2500 0.2500 Ca
0.7500 0.7500 0.7500 Ca
0.1077 0.6394 0.1412 Ho
0.1394 0.8923 0.6412 Ho
0.3606 0.6077 0.6412 Ho
0.3923 0.8606 0.1412 Ho
0.6077 0.1394 0.8588 Ho
0.6394 0.3923 0.3588 Ho
0.8606 0.1077 0.3588 Ho
0.8923 0.3606 0.8588 Ho
0.0465 0.6011 0.6553 Sn
0.1011 0.9535 0.1553 Sn
0.3989 0.5465 0.1553 Sn
0.4535 0.8989 0.6553 Sn
0.5465 0.1011 0.3447 Sn
0.6011 0.4535 0.8447 Sn
0.8989 0.0465 0.8447 Sn
0.9535 0.3989 0.3447 Sn
```

Largest 10 diffraction maxima, in order of falling intensity, 10° ≤ 2θ ≤ 90°:
| Position (°2θ) | d/Å | I_rel |
| --- | --- | --- |
| 28.32 | 3.152 | 1000 |
| 12.56 | 7.048 | 999 |
| 40.10 | 2.249 | 861 |
| 30.61 | 2.921 | 854 |
| 35.64 | 2.519 | 598 |
| 36.04 | 2.492 | 288 |
| 47.99 | 1.896 | 263 |
| 55.00 | 1.670 | 262 |
| 64.54 | 1.444 | 218 |
| 17.80 | 4.984 | 217 |

Record 2
Computed X-ray powder pattern of LiTmUSe4 for CuKα, from a GGA-PBE-relaxed structure.
Lines closer than 0.1° are merged.

Cell and atoms:
```
LiTmUSe4
1.0
-4.0769 4.1760 5.7990
4.0769 -4.1760 5.7990
4.0769 4.1760 -5.7990
Li Tm U Se
2 2 2 8
direct
0.3822 0.1322 0.2500 Li
0.6178 0.8678 0.7500 Li
0.0000 0.0000 0.5000 Tm
0.0000 0.5000 0.0000 Tm
0.0000 0.5000 0.5000 U
0.5000 0.5000 0.0000 U
0.2295 0.7436 0.4859 Se
0.2423 0.2564 0.9859 Se
0.2450 0.2566 0.5117 Se
0.2450 0.7333 0.9883 Se
0.7550 0.2667 0.0117 Se
0.7550 0.7434 0.4883 Se
0.7577 0.7436 0.0141 Se
0.7705 0.2564 0.5141 Se
```

Largest 10 diffraction maxima, in order of falling intensity, 10° ≤ 2θ ≤ 90°:
| Position (°2θ) | d/Å | I_rel |
| --- | --- | --- |
| 30.65 | 2.917 | 1000 |
| 13.27 | 6.670 | 814 |
| 44.03 | 2.056 | 755 |
| 13.06 | 6.778 | 500 |
| 30.84 | 2.900 | 493 |
| 25.16 | 3.540 | 330 |
| 25.50 | 3.493 | 326 |
| 40.37 | 2.234 | 257 |
| 81.52 | 1.181 | 204 |
| 54.13 | 1.694 | 197 |

Record 3
Computed X-ray powder pattern of La2TbAs3Rh4 for CuKα, from a GGA-PBE-relaxed structure.
Lines closer than 0.1° are merged.

Cell and atoms:
```
La2TbAs3Rh4
1.0
4.1751 0.0000 0.0000
0.0000 4.1751 0.0000
0.0000 0.0000 11.4861
La Tb As Rh
2 1 3 4
direct
0.0000 0.5000 0.2280 La
0.5000 0.0000 0.7720 La
0.0000 0.0000 0.5000 Tb
0.0000 0.5000 0.8746 As
0.5000 0.0000 0.1254 As
0.5000 0.5000 0.5000 As
0.0000 0.0000 0.0000 Rh
0.0000 0.5000 0.6604 Rh
0.5000 0.0000 0.3396 Rh
0.5000 0.5000 0.0000 Rh
```

Largest 10 diffraction maxima, in order of falling intensity, 10° ≤ 2θ ≤ 90°:
| Position (°2θ) | d/Å | I_rel |
| --- | --- | --- |
| 34.15 | 2.626 | 1000 |
| 43.34 | 2.088 | 471 |
| 31.71 | 2.822 | 292 |
| 73.62 | 1.287 | 210 |
| 45.04 | 2.013 | 199 |
| 43.99 | 2.058 | 192 |
| 62.97 | 1.476 | 153 |
| 64.29 | 1.449 | 136 |
| 54.69 | 1.678 | 123 |
| 38.03 | 2.366 | 116 |

Record 4
Computed X-ray powder pattern of Ta2Pt3S8 for CuKα, from a GGA-PBE-relaxed structure.
Lines closer than 0.1° are merged.

Cell and atoms:
```
Ta2Pt3S8
1.0
10.7191 0.0000 0.0000
0.0000 14.7511 0.0000
0.0000 0.0000 3.4869
Ta Pt S
4 6 16
direct
0.1937 0.1252 0.0000 Ta
0.3063 0.6252 0.0000 Ta
0.6937 0.3748 0.0000 Ta
0.8063 0.8748 0.0000 Ta
0.0000 0.0000 0.5000 Pt
0.1475 0.7271 0.5000 Pt
0.3525 0.2271 0.5000 Pt
0.5000 0.5000 0.5000 Pt
0.6475 0.7729 0.5000 Pt
0.8525 0.2729 0.5000 Pt
0.0278 0.1576 0.5000 S
0.0767 0.6307 0.0000 S
0.2192 0.0044 0.5000 S
0.2298 0.2901 0.0000 S
0.2702 0.7901 0.0000 S
0.2808 0.5044 0.5000 S
0.4233 0.1307 0.0000 S
0.4722 0.6576 0.5000 S
0.5278 0.3424 0.5000 S
0.5767 0.8693 0.0000 S
0.7192 0.4956 0.5000 S
0.7298 0.2099 0.0000 S
0.7702 0.7099 0.0000 S
0.7808 0.9956 0.5000 S
0.9233 0.3693 0.0000 S
0.9722 0.8424 0.5000 S
```

Largest 10 diffraction maxima, in order of falling intensity, 10° ≤ 2θ ≤ 90°:
| Position (°2θ) | d/Å | I_rel |
| --- | --- | --- |
| 14.58 | 6.076 | 1000 |
| 10.20 | 8.671 | 722 |
| 35.43 | 2.534 | 521 |
| 31.20 | 2.867 | 403 |
| 24.57 | 3.623 | 324 |
| 36.50 | 2.462 | 292 |
| 45.95 | 1.975 | 264 |
| 43.01 | 2.103 | 226 |
| 44.37 | 2.042 | 218 |
| 35.67 | 2.517 | 199 |